(1)
The following is a simulated X-ray powder pattern of Ca2MgAl2Rh5. It was derived from a PBE-relaxed structure, using a wavelength of 1.5418 Å.
Neutral-atom scattering factors, no anomalous dispersion.

Crystal structure
abc: 10.239 10.239 3.258
angles: 90.00 90.00 90.00
Space group P4/mbm (No. 127)
Asymmetric unit:
1 Ca 0.173 0.327 0.000
2 Mg 0.000 0.000 0.000
3 Al 0.128 0.628 0.000
4 Rh 0.000 0.500 0.500
5 Rh 0.065 0.796 0.500

The 8 most intense peaks (15° ≤ 2θ ≤ 90°), in order of rising 2θ:
(0 0 1), 27.37°, intensity 41; (3 1 0), 27.55°, intensity 24; (4 1 0), 36.17°, intensity 72; (3 3 0), 37.26°, intensity 25; (3 1 1), 39.22°, intensity 100; (3 2 1), 42.21°, intensity 49; (4 1 1), 45.95°, intensity 27; (7 1 0), 64.29°, intensity 37



(2)
The following is a simulated X-ray powder pattern of Tl2Pd7Pb2. It was derived from a PBE-relaxed structure, using a wavelength of 1.5418 Å.
Neutral-atom scattering factors, no anomalous dispersion.

Crystal structure
abc: 7.583 8.865 7.111
angles: 90.00 90.00 90.00
Space group Cmmm (No. 65)
Asymmetric unit:
1 Tl 0.000 0.196 0.000
2 Pd 0.000 0.000 0.296
3 Pd 0.000 0.500 0.000
4 Pd 0.250 0.250 0.277
5 Pb 0.194 0.500 0.500

The 8 most intense peaks (15° ≤ 2θ ≤ 90°), in order of rising 2θ:
(0 2 1), 23.65°, intensity 57; (2 0 1), 26.64°, intensity 84; (3 1 0), 36.98°, intensity 19; (2 2 2), 40.29°, intensity 100; (0 4 0), 40.71°, intensity 31; (1 3 2), 41.48°, intensity 45; (2 0 3), 45.12°, intensity 21; (3 3 1), 49.13°, intensity 35



(3)
The following is a simulated X-ray powder pattern of TcI. It was derived from a PBE-relaxed structure, using a wavelength of 1.5418 Å.
Neutral-atom scattering factors, no anomalous dispersion.

Crystal structure
abc: 3.719 3.761 9.048
angles: 88.91 89.71 60.37
Space group P-1 (No. 2)
Asymmetric unit:
1 Tc 0.186 0.130 0.433
2 I 0.148 0.196 0.779

The 8 most intense peaks (15° ≤ 2θ ≤ 90°), in order of rising 2θ:
(0 1 0), 27.28°, intensity 42; (1 0 0), 27.60°, intensity 85; (0 1 -1), 29.24°, intensity 100; (1 0 -2), 34.01°, intensity 42; (0 1 3), 40.30°, intensity 54; (1 0 3), 41.06°, intensity 76; (1 1 -3), 41.23°, intensity 57; (1 2 0), 48.42°, intensity 65